1.
For BAsPd, the GGA-PBE geometry in Alexandria gives the calculated XRD peak list in this record (Cu Kα, 1.54184 Å).
Neutral-atom scattering factors, no anomalous dispersion.

Peak list (10 most intense, 2θ from 10° to 90°, by angle)
2θ/deg  d_spacing  I (rel.)
18.92  4.690  39.7
30.63  2.919  16.6
34.01  2.636  30.1
34.20  2.622  100.0
42.13  2.145  31.8
46.42  1.956  16.1
48.31  1.884  39.8
53.18  1.722  12.6
55.21  1.664  14.8
81.66  1.179  13.2

Cell and atoms:
Lattice parameters (Å, degrees): 3.163 5.887 5.887 127.18 90.00 90.00
Element x y z (fractional)
B (0.250, 0.026, 0.974)
B (0.750, 0.974, 0.026)
As (0.250, 0.469, 0.150)
As (0.750, 0.150, 0.469)
Pd (0.250, 0.557, 0.781)
Pd (0.750, 0.781, 0.557)

2.
For CdReRu, the GGA-PBE geometry in Alexandria gives the calculated XRD peak list in this record (Cu Kα, 1.54184 Å).
Neutral-atom scattering factors, no anomalous dispersion.

Peak list (10 most intense, 2θ from 10° to 90°, by angle)
2θ/deg  d_spacing  I (rel.)
14.74  6.011  15.9
38.68  2.328  100.0
44.81  2.022  35.3
45.26  2.004  12.7
49.53  1.840  6.6
65.24  1.430  11.3
65.59  1.423  16.6
78.49  1.219  24.8
79.13  1.210  6.5
82.95  1.164  8.7

Cell and atoms:
Lattice parameters (Å, degrees): 6.342 6.342 6.342 153.94 153.94 37.19
Element x y z (fractional)
Cd (0.000, 0.000, 0.000)
Re (0.686, 0.686, 0.000)
Ru (0.318, 0.318, 0.000)

3.
For Np2HgI6, the GGA-PBE geometry in Alexandria gives the calculated XRD peak list in this record (Cu Kα, 1.54184 Å).
Neutral-atom scattering factors, no anomalous dispersion.

Peak list (10 most intense, 2θ from 10° to 90°, by angle)
2θ/deg  d_spacing  I (rel.)
15.99  5.542  83.2
24.45  3.641  55.7
27.77  3.213  15.2
29.46  3.032  100.0
36.06  2.490  23.4
36.42  2.467  22.9
39.59  2.276  39.4
44.59  2.032  25.1
50.11  1.820  21.4
65.68  1.422  18.3

Cell and atoms:
Lattice parameters (Å, degrees): 7.885 7.885 9.486 90.00 90.00 120.00
Element x y z (fractional)
Np (0.333, 0.667, 0.000)
Np (0.667, 0.333, 0.000)
Hg (0.000, 0.000, 0.500)
I (0.000, 0.360, 0.810)
I (0.000, 0.640, 0.190)
I (0.360, 0.000, 0.810)
I (0.360, 0.360, 0.190)
I (0.640, 0.000, 0.190)
I (0.640, 0.640, 0.810)